The following is a simulated X-ray powder pattern of Mg15Mn. It was derived from DFT lattice parameters and positions (PBE), using copper Kα.

Peak list (10 most intense, 10 to 90 degrees two-theta, in order of rising 2θ)
Position (°2θ), I_rel
16.2, 3
18.4, 4
32.8, 24
35.0, 26
37.3, 100
48.7, 15
58.5, 17
64.3, 18
70.0, 18
71.5, 13

Atomic structure:
```
Mg15Mn
1.0
6.3109 0.0000 0.0000
-3.1554 5.4654 0.0000
0.0000 0.0000 10.2517
Mg Mn
15 1
Direct
0.0000 0.0000 0.0000
0.0024 0.5012 0.0000
0.1631 0.3262 0.2593
0.1631 0.3262 0.7407
0.1631 0.8369 0.2593
0.1631 0.8369 0.7407
0.4988 0.5012 0.0000
0.4988 0.9976 0.0000
0.5008 0.0016 0.5000
0.5008 0.4992 0.5000
0.6667 0.3333 0.2496
0.6667 0.3333 0.7504
0.6738 0.8369 0.2593
0.6738 0.8369 0.7407
0.9984 0.4992 0.5000
0.0000 0.0000 0.5000
```